# 1
Ag4Sn2S5: theoretical powder XRD pattern (Cu Kα (weighted mean of Kα1 and Kα2)), based on a GGA-PBE-relaxed structure.

Structural model:
```
data_Ag4Sn2S5
_chemical_formula_sum 'Ag12 Sn6 S15'
_cell_length_a 4.0894
_cell_length_b 4.0894
_cell_length_c 52.7798
_cell_angle_alpha 90.00
_cell_angle_beta 90.00
_cell_angle_gamma 120.00
_symmetry_space_group_name_H-M 'R -3 m'
_symmetry_Int_Tables_number 166
_symmetry_space_group_name_Hall '-R 3 2"'
loop_
_atom_site_label
_atom_site_type_symbol
_atom_site_fract_x
_atom_site_fract_y
_atom_site_fract_z
_atom_site_occupancy
Ag1 Ag 0.0000 0.0000 0.0861 1
Ag2 Ag 0.0000 0.0000 0.1891 1
Sn1 Sn 0.0000 0.0000 0.3658 1
S1 S 0.0000 0.0000 0.0000 1
S2 S 0.0000 0.0000 0.1328 1
S3 S 0.0000 0.0000 0.2710 1
```

Peak list (10 most intense, 15° ≤ 2θ ≤ 90°, low angle first)
25.20 deg, I 14, hkl 1 0 1
26.05 deg, I 36, hkl 1 0 4
27.83 deg, I 37, hkl 1 0 7
30.47 deg, I 33, hkl 0 0 18
31.39 deg, I 100, hkl 0 1 11
44.30 deg, I 59, hkl 1 1 0
45.68 deg, I 34, hkl 1 0 22
54.73 deg, I 30, hkl 1 1 18
55.29 deg, I 22, hkl 2 0 11
73.44 deg, I 18, hkl 1 2 11



# 2
Ag2SnS4: theoretical powder XRD pattern (Cu Kα (weighted mean of Kα1 and Kα2)), based on a GGA-PBE-relaxed structure.

Structural model:
```
data_Ag2SnS4
_chemical_formula_sum 'Ag8 Sn4 S16'
_cell_length_a 7.6556
_cell_length_b 7.6983
_cell_length_c 10.5961
_cell_angle_alpha 90.00
_cell_angle_beta 90.00
_cell_angle_gamma 90.00
_symmetry_space_group_name_H-M 'I m m a'
_symmetry_Int_Tables_number 74
_symmetry_space_group_name_Hall '-I 2b 2'
loop_
_atom_site_label
_atom_site_type_symbol
_atom_site_fract_x
_atom_site_fract_y
_atom_site_fract_z
_atom_site_occupancy
Ag1 Ag 0.0000 0.0000 0.0000 1
Ag2 Ag 0.0000 0.2500 0.3860 1
Sn1 Sn 0.2500 0.2500 0.7500 1
S1 S 0.0000 0.0173 0.7550 1
S2 S 0.2271 0.2500 0.9897 1
```

Peak list (10 most intense, 15° ≤ 2θ ≤ 90°, low angle first)
23.46 deg, I 26, hkl 1 1 2
27.31 deg, I 100, hkl 2 1 1
27.80 deg, I 49, hkl 0 1 3
33.00 deg, I 26, hkl 2 2 0
33.84 deg, I 13, hkl 0 0 4
43.35 deg, I 39, hkl 3 2 1
44.34 deg, I 17, hkl 1 0 5
47.23 deg, I 16, hkl 0 4 0
47.51 deg, I 16, hkl 4 0 0
47.99 deg, I 61, hkl 2 2 4



# 3
AgSn2S3: theoretical powder XRD pattern (Cu Kα (weighted mean of Kα1 and Kα2)), based on a GGA-PBE-relaxed structure.

Structural model:
```
data_AgSn2S3
_chemical_formula_sum 'Ag2 Sn4 S6'
_cell_length_a 5.6173
_cell_length_b 5.6138
_cell_length_c 8.9293
_cell_angle_alpha 90.00
_cell_angle_beta 108.22
_cell_angle_gamma 90.00
_symmetry_space_group_name_H-M 'C 1 2/m 1'
_symmetry_Int_Tables_number 12
_symmetry_space_group_name_Hall '-C 2y'
loop_
_atom_site_label
_atom_site_type_symbol
_atom_site_fract_x
_atom_site_fract_y
_atom_site_fract_z
_atom_site_occupancy
Ag1 Ag 0.0000 0.0000 0.0000 1
Sn1 Sn 0.1594 0.5000 0.3184 1
S1 S 0.0000 0.5000 0.0000 1
S2 S 0.1700 0.0000 0.3396 1
```

Peak list (10 most intense, 15° ≤ 2θ ≤ 90°, low angle first)
27.45 deg, I 88, hkl 1 1 1
31.65 deg, I 49, hkl 0 0 3
31.87 deg, I 100, hkl 0 2 0
45.53 deg, I 69, hkl 2 0 2
45.70 deg, I 36, hkl 2 2 -1
53.84 deg, I 13, hkl 1 1 4
54.13 deg, I 30, hkl 3 1 0
56.65 deg, I 36, hkl 2 2 2
75.69 deg, I 20, hkl 4 2 -2
84.36 deg, I 12, hkl 4 2 1



# 4
Ag2Sn4S9: theoretical powder XRD pattern (Cu Kα (weighted mean of Kα1 and Kα2)), based on a GGA-PBE-relaxed structure.

Structural model:
```
data_Ag2Sn4S9
_chemical_formula_sum 'Ag4 Sn8 S18'
_cell_length_a 6.6087
_cell_length_b 6.6105
_cell_length_c 17.9547
_cell_angle_alpha 89.98
_cell_angle_beta 90.00
_cell_angle_gamma 60.01
_symmetry_space_group_name_H-M 'P -1'
_symmetry_Int_Tables_number 2
_symmetry_space_group_name_Hall '-P 1'
loop_
_atom_site_label
_atom_site_type_symbol
_atom_site_fract_x
_atom_site_fract_y
_atom_site_fract_z
_atom_site_occupancy
Ag1 Ag 0.9997 0.9999 0.1420 1
Ag2 Ag 0.9996 0.0003 0.3573 1
Sn1 Sn 0.3325 0.3336 0.1889 1
Sn2 Sn 0.3333 0.3333 0.4817 1
Sn3 Sn 0.3335 0.3332 0.9817 1
Sn4 Sn 0.3342 0.3333 0.6887 1
S1 S 0.0012 0.3059 0.7501 1
S2 S 0.0368 0.3357 0.0806 1
S3 S 0.0373 0.6274 0.5806 1
S4 S 0.3054 0.9999 0.2500 1
S5 S 0.3070 0.6936 0.7500 1
S6 S 0.3359 0.0368 0.5807 1
S7 S 0.3357 0.6271 0.0806 1
S8 S 0.3721 0.6647 0.4194 1
S9 S 0.3732 0.9631 0.9193 1
```

Peak list (10 most intense, 15° ≤ 2θ ≤ 90°, low angle first)
18.38 deg, I 31, hkl 1 0 2
25.21 deg, I 100, hkl 1 1 4
26.98 deg, I 80, hkl 2 1 0
30.91 deg, I 22, hkl 2 1 -3
37.26 deg, I 50, hkl 0 2 4
40.67 deg, I 66, hkl 2 1 6
46.60 deg, I 49, hkl 2 3 4
47.66 deg, I 49, hkl 3 3 0
53.49 deg, I 19, hkl 1 1 10
64.41 deg, I 16, hkl 2 4 -6